Record 1
Calculated powder diffraction line list
Compound: HoWO5
Radiation: Cu Kα X-rays
Structure: a structure optimized by DFT (GGA+U)
Intensities are scaled so that the largest is 1000.

Top 6 peaks for 10 to 90 degrees two-theta, low angle first:
2θ (°)  d (Å)  intensity
14.0  6.325  479
20.0  4.435  864
22.6  3.927  602
27.3  3.272  544
27.7  3.226  760
31.8  2.815  1000

Cell and atoms:
```
28
Lattice="5.309 0.000 0.000 0.000 12.649 0.000 -3.136 0.000 6.201" Properties=species:S:1:pos:R:3 pbc="T T T"
Ho -0.155 0.703 1.768
Ho -1.723 5.621 4.868
Ho 3.895 7.028 1.333
Ho 2.327 11.946 4.433
W -0.567 1.756 5.251
W 1.001 4.568 2.151
W 1.172 8.081 4.050
W 2.740 10.893 0.950
O -1.678 1.105 3.479
O -0.110 5.220 0.379
O -1.982 0.819 6.030
O -0.414 5.506 2.929
O 0.087 8.203 2.609
O -1.481 10.771 5.710
O 0.641 2.834 1.809
O -0.927 3.490 4.909
O -0.057 7.228 5.235
O 1.511 11.745 2.134
O 0.661 0.904 4.067
O 2.229 5.421 0.966
O 3.100 9.159 1.292
O 1.532 9.815 4.392
O 3.654 1.878 0.491
O 2.086 4.446 3.592
O 2.587 7.143 3.272
O 4.155 11.830 0.171
O 2.283 7.430 5.822
O 3.851 11.544 2.722
```



Record 2
Calculated powder diffraction line list
Compound: MgAg4Te8Mo2O24
Radiation: Cu Kα X-rays
Structure: a structure optimized by DFT (GGA+U)
Intensities are scaled so that the largest is 1000.

Top 6 peaks for 10 to 90 degrees two-theta, low angle first:
2θ (°)  d (Å)  intensity
26.5  3.366  572
26.8  3.327  843
28.8  3.101  720
28.9  3.084  1000
29.7  3.007  645
30.2  2.956  886

Cell and atoms:
```
39
Lattice="5.862 0.000 0.000 -2.762 8.662 0.000 -0.153 -3.020 11.852" Properties=species:S:1:pos:R:3 pbc="T T T"
Mg 0.000 0.000 0.000
Ag -2.509 5.948 8.865
Ag -0.424 6.982 4.839
Ag 0.176 4.004 11.531
Ag 2.682 5.674 5.246
Te -0.035 0.045 7.163
Te -0.500 4.082 7.111
Te 0.326 3.796 3.518
Te 2.448 1.506 1.192
Te 3.243 -1.777 9.287
Te 2.777 2.640 9.511
Te 5.057 -0.147 3.163
Te 3.588 5.684 1.646
Mo -0.675 0.373 11.376
Mo 3.243 2.017 5.278
O -1.108 1.529 6.706
O -0.898 2.437 4.016
O 0.147 -0.710 5.460
O -1.565 3.707 8.966
O -1.385 5.303 3.302
O -1.821 7.543 1.517
O -0.636 5.104 0.622
O 0.560 2.318 0.878
O -0.895 5.946 7.300
O 0.617 0.829 10.291
O 1.961 -2.430 11.338
O 0.431 4.655 5.272
O 1.994 1.476 6.400
O 2.020 2.766 3.885
O 1.030 5.103 9.119
O 3.402 0.295 4.128
O 1.895 6.657 3.142
O 4.290 0.183 1.351
O 3.523 2.946 0.619
O 4.329 -1.161 7.676
O 2.589 3.621 11.132
O 3.720 1.081 10.018
O 4.814 -1.540 10.525
O 3.676 3.821 6.133
```



Record 3
Calculated powder diffraction line list
Compound: Li9Mn2Co5O16
Radiation: Cu Kα X-rays
Structure: a structure optimized by DFT (GGA+U)
Intensities are scaled so that the largest is 1000.

Top 6 peaks for 10 to 90 degrees two-theta, low angle first:
2θ (°)  d (Å)  intensity
18.2  4.865  1000
34.9  2.568  147
36.2  2.481  252
42.1  2.145  282
43.9  2.062  542
62.6  1.484  147

Cell and atoms:
```
32
Lattice="4.917 -1.444 0.000 4.917 1.444 0.000 -3.036 0.000 20.547" Properties=species:S:1:pos:R:3 pbc="T T T"
Li 0.000 0.000 0.000
Li -1.527 0.000 10.436
Li 0.368 0.000 14.160
Li 2.183 0.000 18.005
Li 4.520 0.000 2.500
Li 3.799 0.000 7.715
Li 3.128 0.000 13.042
Li 7.476 0.000 15.320
Li 9.059 0.000 5.186
Mn 1.084 0.000 9.054
Mn 1.890 0.000 3.886
Co -0.330 0.000 19.266
Co 4.807 0.000 16.531
Co 7.130 0.000 1.241
Co 6.477 0.000 6.478
Co 5.741 0.000 11.849
O 0.998 0.000 1.871
O -0.456 0.000 12.161
O 0.318 0.000 7.220
O -1.157 0.000 17.355
O 1.876 0.000 10.806
O 1.117 0.000 16.184
O 3.464 0.000 0.675
O 2.827 0.000 5.902
O 3.955 0.000 14.933
O 4.821 0.000 9.553
O 3.323 0.000 19.896
O 5.622 0.000 4.555
O 7.195 0.000 8.464
O 7.995 0.000 3.252
O 5.780 0.000 18.710
O 6.616 0.000 13.414
```



Record 4
Calculated powder diffraction line list
Compound: MgMn3CoO8
Radiation: Cu Kα X-rays
Structure: a structure optimized by DFT (GGA+U)
Intensities are scaled so that the largest is 1000.

Top 6 peaks for 10 to 90 degrees two-theta, low angle first:
2θ (°)  d (Å)  intensity
17.7  5.016  1000
35.8  2.507  202
42.9  2.109  435
43.4  2.085  210
61.4  1.510  167
63.9  1.457  113

Cell and atoms:
```
13
Lattice="5.028 -2.945 0.000 5.028 2.945 0.000 -3.381 0.000 5.016" Properties=species:S:1:pos:R:3 pbc="T T T"
Mg 0.000 0.000 0.000
Mn -1.691 0.000 2.508
Mn 0.823 1.472 2.508
Mn 0.823 -1.472 2.508
Co 3.337 0.000 2.508
O 2.430 1.604 3.566
O -0.009 0.000 3.497
O 4.245 1.604 1.450
O 1.585 0.000 1.493
O 5.090 0.000 3.523
O 2.430 -1.604 3.566
O 6.684 0.000 1.520
O 4.245 -1.604 1.450
```